Record 1
This entry pairs a crystal structure of Na2AcI4 with its theoretical X-ray powder pattern. Radiation: Cu Kα. Structure: a crystal structure in Alexandria, relaxed with PBE.

Atomic structure:
```
data_Na2AcI4
_cell_length_a 9.7798
_cell_length_b 9.7798
_cell_length_c 9.7798
_cell_angle_alpha 128.84
_cell_angle_beta 118.81
_cell_angle_gamma 83.74
_space_group_name_H-M_alt 'P 1'
_space_group_IT_number 1
_space_group_name_Hall 'P 1'
loop_
_atom_site_label
_atom_site_type_symbol
_atom_site_fract_x
_atom_site_fract_y
_atom_site_fract_z
Na1 Na 0.0000 0.0000 0.0000
Na2 Na 0.3794 0.6294 0.7500
Na3 Na 0.5000 0.0000 0.5000
Na4 Na 0.6206 0.3706 0.2500
Ac1 Ac 0.0000 0.0000 0.5000
Ac2 Ac 0.0000 0.5000 0.0000
I1 I 0.2286 0.2237 0.4951
I2 I 0.2286 0.7335 0.0049
I3 I 0.2439 0.2272 0.0168
I4 I 0.2896 0.7728 0.5168
I5 I 0.7104 0.2272 0.4832
I6 I 0.7561 0.7728 0.9832
I7 I 0.7714 0.2665 0.9951
I8 I 0.7714 0.7763 0.5049
```

The 12 most intense peaks (2θ from 10° to 90°), by angle:
- 2θ 10.76, I = 69
- 2θ 12.15, I = 26
- 2θ 21.62, I = 23
- 2θ 23.69, I = 49
- 2θ 24.43, I = 69
- 2θ 27.57, I = 18
- 2θ 27.71, I = 100
- 2θ 32.01, I = 18
- 2θ 36.09, I = 26
- 2θ 37.28, I = 83
- 2θ 38.62, I = 22
- 2θ 44.06, I = 26

Record 2
This entry pairs a crystal structure of NaAcSnI6 with its theoretical X-ray powder pattern. Radiation: Cu Kα. Structure: a crystal structure in Alexandria, relaxed with PBE.

Atomic structure:
```
data_NaAcSnI6
_cell_length_a 7.6647
_cell_length_b 7.6647
_cell_length_c 14.5251
_cell_angle_alpha 90.00
_cell_angle_beta 90.00
_cell_angle_gamma 90.00
_space_group_name_H-M_alt 'P 1'
_space_group_IT_number 1
_space_group_name_Hall 'P 1'
loop_
_atom_site_label
_atom_site_type_symbol
_atom_site_fract_x
_atom_site_fract_y
_atom_site_fract_z
Na1 Na 0.0000 0.0000 0.0000
Na2 Na 0.5000 0.5000 0.5000
Ac1 Ac 0.0000 0.0000 0.6674
Ac2 Ac 0.5000 0.5000 0.1674
Sn1 Sn 0.0000 0.0000 0.3341
Sn2 Sn 0.5000 0.5000 0.8341
I1 I 0.1967 0.1967 0.1669
I2 I 0.1967 0.1967 0.4963
I3 I 0.2022 0.2022 0.8352
I4 I 0.2978 0.7022 0.3352
I5 I 0.3033 0.6967 0.6669
I6 I 0.3033 0.6967 0.9963
I7 I 0.6967 0.3033 0.6669
I8 I 0.6967 0.3033 0.9963
I9 I 0.7022 0.2978 0.3352
I10 I 0.7978 0.7978 0.8352
I11 I 0.8033 0.8033 0.1669
I12 I 0.8033 0.8033 0.4963
```

The 12 most intense peaks (2θ from 10° to 90°), by angle:
- 2θ 13.06, I = 25
- 2θ 16.36, I = 55
- 2θ 24.66, I = 100
- 2θ 25.99, I = 35
- 2θ 31.99, I = 69
- 2θ 33.05, I = 40
- 2θ 37.13, I = 25
- 2θ 39.90, I = 59
- 2θ 41.66, I = 19
- 2θ 50.54, I = 34
- 2θ 63.70, I = 21
- 2θ 68.76, I = 34